Theoretical powder XRD pattern
Compound: Tm2OsRu
Radiation: CuKα
Structure: the PBE geometry in the Materials Project
No peak broadening, texture or thermal motion is included.

Structural model:
a b c (Å): 6.727 6.727 6.727
angles (deg): 90.00 90.00 90.00
Fractional positions:
Tm: 0.250 0.250 0.250
Tm: 0.250 0.250 0.750
Tm: 0.250 0.750 0.250
Tm: 0.250 0.750 0.750
Tm: 0.750 0.250 0.250
Tm: 0.750 0.250 0.750
Tm: 0.750 0.750 0.250
Tm: 0.750 0.750 0.750
Os: 0.000 0.000 0.000
Os: 0.000 0.500 0.500
Os: 0.500 0.000 0.500
Os: 0.500 0.500 0.000
Ru: 0.000 0.000 0.500
Ru: 0.000 0.500 0.000
Ru: 0.500 0.000 0.000
Ru: 0.500 0.500 0.500

Largest 10 diffraction maxima, in order of falling intensity, 2θ from 15° to 90°:
two_theta  Rel. int.  h k l
37.8  100.0  2 2 0
68.3  35.5  4 2 2
54.6  17.4  4 0 0
80.8  11.2  4 4 0
22.9  4.0  1 1 1
44.7  2.3  3 1 1
59.9  1.0  3 3 1
85.4  0.8  5 3 1
73.1  0.8  5 1 1
26.5  0.7  2 0 0